# Li2PrMgAu5
Calculated X-ray powder pattern, Cu Kα. Input: a PBE-relaxed structure.
No peak broadening, texture or thermal motion is included.

The 12 most intense peaks (10 to 90 degrees two-theta), by intensity:
35.7°, d = 2.515 Å, I = 100
37.4°, d = 2.402 Å, I = 50
66.4°, d = 1.408 Å, I = 33
28.9°, d = 3.093 Å, I = 31
54.0°, d = 1.698 Å, I = 18
52.9°, d = 1.731 Å, I = 16
26.2°, d = 3.397 Å, I = 16
63.0°, d = 1.476 Å, I = 14
68.5°, d = 1.370 Å, I = 12
36.0°, d = 2.496 Å, I = 12
75.6°, d = 1.258 Å, I = 8
66.6°, d = 1.404 Å, I = 8

Crystal structure
abc: 4.8037 4.8037 7.4867
angles: 90.00 90.00 90.00
Fractional positions:
Li 0.0000 0.0000 0.1546
Li 0.0000 0.0000 0.8454
Pr 0.5000 0.5000 0.5000
Mg 0.5000 0.5000 0.0000
Au 0.0000 0.0000 0.5000
Au 0.0000 0.5000 0.2192
Au 0.0000 0.5000 0.7808
Au 0.5000 0.0000 0.2192
Au 0.5000 0.0000 0.7808